# Ca3PrAg4
Simulated X-ray powder pattern, copper Kα. Input: a DFT-relaxed cell (GGA-PBE, Alexandria).
Peak positions follow from Bragg's law for the DFT cell and can differ from measured ones.

Top 10 peaks for 10 to 80 degrees two-theta, in order of rising 2θ:
| 2θ (°) | intensity |
| --- | --- |
| 10.29 | 5 |
| 19.73 | 4 |
| 20.64 | 4 |
| 23.87 | 8 |
| 34.01 | 100 |
| 48.87 | 17 |
| 60.85 | 26 |
| 60.96 | 9 |
| 71.54 | 5 |
| 71.67 | 5 |

Cell and atoms:
```
Ca3PrAg4
1.0
2.6378 1.5229 8.5946
-2.6378 1.5229 8.5946
0.0000 -3.0459 8.5946
Ca Pr Ag
3 1 4
direct
0.0000 0.0000 0.0000
0.2513 0.2513 0.2513
0.7487 0.7487 0.7487
0.5000 0.5000 0.5000
0.1261 0.1261 0.1261
0.3758 0.3758 0.3758
0.6242 0.6242 0.6242
0.8739 0.8739 0.8739
```